This entry pairs a crystal structure of Ce2WC2 with its simulated X-ray diffraction stick pattern. Radiation: CuKα. Structure: DFT lattice parameters and positions (PBE).
Neutral-atom scattering factors, no anomalous dispersion.

Cell and atoms:
abc: 5.6773 5.6773 10.4135
angles: 90.00 90.00 90.00
Atoms (fractional coordinates):
Ce1 0.1842 0.1842 0.1555
Ce2 0.1842 0.1842 0.8445
Ce3 0.3158 0.6842 0.3445
Ce4 0.3158 0.6842 0.6555
Ce5 0.6842 0.3158 0.3445
Ce6 0.6842 0.3158 0.6555
Ce7 0.8158 0.8158 0.1555
Ce8 0.8158 0.8158 0.8445
W1 0.1795 0.1795 0.5000
W2 0.3205 0.6795 0.0000
W3 0.6795 0.3205 0.0000
W4 0.8205 0.8205 0.5000
C1 0.0000 0.0000 0.3547
C2 0.0000 0.0000 0.6453
C3 0.0000 0.5000 0.0000
C4 0.0000 0.5000 0.5000
C5 0.5000 0.0000 0.0000
C6 0.5000 0.0000 0.5000
C7 0.5000 0.5000 0.1453
C8 0.5000 0.5000 0.8547

Principal peaks in the range 2θ = 10–80°, in order of rising 2θ:
| d_spacing | Rel. int. |
| --- | --- |
| 2.961 | 31 |
| 2.839 | 34 |
| 2.626 | 100 |
| 2.539 | 64 |
| 2.049 | 12 |
| 2.007 | 8 |
| 1.737 | 24 |
| 1.662 | 35 |
| 1.481 | 9 |
| 1.433 | 36 |
| 1.377 | 16 |
| 1.338 | 8 |